(1)
Structure and theoretical powder diffractogram of CuHgMo (a structure optimized by DFT (GGA-PBE); Cu Kα, 1.54184 Å).

Crystal structure
```
6
Lattice="2.812 0.000 0.000 0.000 2.812 0.000 0.000 0.000 12.331" Properties=species:S:1:pos:R:3 pbc="T T T"
Cu 0.000 0.000 0.000
Cu 1.406 1.406 6.166
Hg 0.000 0.000 8.235
Hg 1.406 1.406 2.070
Mo 0.000 0.000 4.353
Mo 1.406 1.406 10.519
```

Largest 10 diffraction maxima, sorted by position, 10° ≤ 2θ ≤ 90°:
d [Å], I_rel
6.166, 18.2
3.083, 11.2
2.742, 20.5
2.321, 100.0
2.055, 16.1
1.989, 32.2
1.429, 19.7
1.406, 10.3
1.232, 10.7
1.203, 24.4


(2)
Structure and theoretical powder diffractogram of HfNF5 (a structure optimized by DFT (GGA-PBE); Cu Kα, 1.54184 Å).

Crystal structure
```
28
Lattice="7.421 -4.169 0.000 7.421 4.169 0.000 0.000 0.000 8.341" Properties=species:S:1:pos:R:3 pbc="T T T"
Hf 7.421 2.123 6.293
Hf 7.421 2.047 2.122
Hf 7.421 -2.047 6.218
Hf 7.421 -2.123 2.048
N 3.495 0.000 0.000
N 3.926 0.000 4.170
N 10.916 0.000 4.170
N 11.347 0.000 0.000
F 7.421 4.080 2.116
F 5.539 2.369 6.542
F 5.539 1.801 2.372
F 2.584 0.000 4.170
F 7.421 2.109 4.260
F 7.421 2.061 0.090
F 4.837 0.000 0.000
F 9.303 2.369 6.542
F 9.303 1.801 2.372
F 7.421 0.089 6.287
F 7.421 -0.089 2.054
F 5.539 -1.801 5.969
F 5.539 -2.369 1.799
F 10.005 0.000 0.000
F 7.421 -2.061 8.251
F 7.421 -2.109 4.080
F 12.258 0.000 4.170
F 9.303 -1.801 5.969
F 9.303 -2.369 1.799
F 7.421 -4.080 6.224
```

Largest 10 diffraction maxima, sorted by position, 10° ≤ 2θ ≤ 90°:
d [Å], I_rel
7.421, 100.0
4.170, 47.8
3.711, 19.2
3.635, 88.7
2.949, 26.3
2.772, 18.9
2.128, 14.9
2.085, 17.1
2.007, 16.0
1.809, 23.7


(3)
Structure and theoretical powder diffractogram of GaAg2BiSe4 (a structure optimized by DFT (GGA-PBE); Cu Kα, 1.54184 Å).

Crystal structure
```
16
Lattice="5.689 -5.728 0.000 5.689 5.728 0.000 -5.636 0.000 5.777" Properties=species:S:1:pos:R:3 pbc="T T T"
Ga 0.000 0.000 0.000
Ga -2.818 0.000 2.888
Ag 2.844 2.864 0.000
Ag 0.026 -2.864 2.888
Ag 5.689 0.000 0.000
Ag 2.870 0.000 2.888
Bi 0.026 2.864 2.888
Bi 2.844 -2.864 0.000
Se 5.619 3.091 0.055
Se 2.940 3.091 2.833
Se -2.642 0.073 5.504
Se 0.177 -0.073 2.615
Se 5.564 0.073 3.162
Se 8.382 -0.073 0.273
Se 2.801 -3.091 2.943
Se 0.122 -3.091 5.722
```

Largest 10 diffraction maxima, sorted by position, 10° ≤ 2θ ≤ 90°:
d [Å], I_rel
3.299, 18.0
2.888, 93.1
2.864, 92.6
2.844, 93.2
2.034, 100.0
2.018, 95.0
1.659, 35.3
1.649, 29.3
1.283, 17.2
1.280, 20.4


(4)
Structure and theoretical powder diffractogram of BaIn2Fe (a structure optimized by DFT (GGA-PBE); Cu Kα, 1.54184 Å).

Crystal structure
```
8
Lattice="8.135 0.000 0.000 0.000 4.647 0.000 -2.707 0.000 6.353" Properties=species:S:1:pos:R:3 pbc="T T T"
Ba 0.000 0.000 0.000
Ba 4.067 2.323 0.000
In -0.013 0.000 3.878
In 2.698 0.000 2.416
In 4.054 2.323 3.878
In 6.765 2.323 2.416
Fe 1.337 2.323 2.888
Fe 5.404 0.000 2.888
```

Largest 10 diffraction maxima, sorted by position, 10° ≤ 2θ ≤ 90°:
d [Å], I_rel
6.353, 37.1
3.948, 30.3
3.176, 29.5
3.092, 45.8
3.080, 89.3
2.782, 42.4
2.770, 82.5
2.342, 100.0
2.323, 48.8
1.885, 25.6


(5)
Structure and theoretical powder diffractogram of TiNbFeSi2 (a structure optimized by DFT (GGA-PBE); Cu Kα, 1.54184 Å).

Crystal structure
```
5
Lattice="4.233 0.000 0.000 0.000 4.233 0.000 0.000 0.000 4.646" Properties=species:S:1:pos:R:3 pbc="T T T"
Ti 0.000 0.000 0.000
Nb 2.117 2.117 0.000
Fe 2.117 2.117 2.323
Si 0.000 2.117 2.323
Si 2.117 0.000 2.323
```

Largest 10 diffraction maxima, sorted by position, 10° ≤ 2θ ≤ 90°:
d [Å], I_rel
4.233, 100.0
2.993, 75.2
2.516, 87.4
2.323, 58.2
2.117, 87.1
2.036, 27.1
1.835, 34.3
1.565, 63.5
1.497, 27.2
1.258, 29.7


(6)
Structure and theoretical powder diffractogram of Ce2Pr3S8 (a structure optimized by DFT (GGA-PBE); Cu Kα, 1.54184 Å).

Crystal structure
```
13
Lattice="4.936 -6.877 0.000 4.936 6.877 0.000 0.000 0.000 4.765" Properties=species:S:1:pos:R:3 pbc="T T T"
Ce 4.936 3.645 0.000
Ce 4.936 -3.645 0.000
Pr 2.130 0.000 2.383
Pr 4.936 0.000 0.000
Pr 7.743 0.000 2.383
S 2.537 1.733 0.000
S 4.936 5.074 2.383
S 4.936 1.678 2.383
S 2.537 -1.733 0.000
S 7.336 1.733 0.000
S 4.936 -1.678 2.383
S 4.936 -5.074 2.383
S 7.336 -1.733 0.000
```

Largest 10 diffraction maxima, sorted by position, 10° ≤ 2θ ≤ 90°:
d [Å], I_rel
4.097, 14.8
4.010, 34.0
3.917, 36.1
3.432, 36.7
3.133, 17.1
2.468, 23.3
2.428, 100.0
2.383, 26.1
1.714, 14.8
1.384, 16.3


(7)
Structure and theoretical powder diffractogram of CsBa3Ga5Se10Cl2 (a structure optimized by DFT (GGA-PBE); Cu Kα, 1.54184 Å).

Crystal structure
```
21
Lattice="8.831 0.000 0.000 -0.025 9.003 0.000 -4.291 -4.490 7.929" Properties=species:S:1:pos:R:3 pbc="T T T"
Cs 0.000 0.000 0.000
Ba -1.040 5.428 4.313
Ba -2.020 0.222 7.908
Ba 3.198 -0.969 4.284
Ga -1.611 1.509 3.459
Ga 1.227 2.342 6.097
Ga 4.659 0.628 0.830
Ga 3.884 3.250 3.482
Ga 6.320 4.031 0.700
Se -0.606 3.143 1.919
Se 0.054 0.520 4.945
Se -0.610 3.403 7.328
Se 2.787 1.574 2.094
Se 2.160 4.225 4.891
Se 0.978 -2.111 7.191
Se 4.736 5.158 2.202
Se 3.089 1.119 7.125
Se 6.188 -0.415 2.402
Se 5.688 2.616 4.972
Cl -3.151 -1.930 5.943
Cl 1.130 6.650 2.323
```

Largest 10 diffraction maxima, sorted by position, 10° ≤ 2θ ≤ 90°:
d [Å], I_rel
3.889, 28.1
3.205, 81.1
3.192, 100.0
3.181, 86.6
3.155, 89.1
2.974, 31.8
2.797, 28.9
1.984, 24.8
1.939, 25.3
1.934, 37.1


(8)
Structure and theoretical powder diffractogram of Na4Mg2Tl3 (a structure optimized by DFT (GGA-PBE); Cu Kα, 1.54184 Å).

Crystal structure
```
18
Lattice="7.524 -5.704 0.000 7.524 5.704 0.000 -0.961 0.000 5.779" Properties=species:S:1:pos:R:3 pbc="T T T"
Na 5.726 4.225 5.667
Na 4.083 1.343 0.679
Na 7.879 4.225 3.002
Na 3.602 -1.343 3.569
Na 10.484 1.343 2.211
Na 6.207 -4.225 2.778
Na 10.003 -1.343 5.100
Na 8.360 -4.225 0.112
Mg 5.273 1.466 3.847
Mg 8.333 1.466 4.822
Mg 5.753 -1.466 0.958
Mg 8.814 -1.466 1.932
Tl 2.070 1.560 3.277
Tl 2.550 -1.560 0.387
Tl 7.284 1.303 1.445
Tl 6.803 -1.303 4.335
Tl 11.536 1.560 5.392
Tl 12.017 -1.560 2.503
```

Largest 10 diffraction maxima, sorted by position, 10° ≤ 2θ ≤ 90°:
d [Å], I_rel
4.663, 96.8
4.539, 81.3
3.748, 100.0
3.015, 35.3
2.852, 53.7
2.836, 49.8
2.753, 49.1
2.594, 84.2
2.320, 32.5
1.592, 31.8


(9)
Structure and theoretical powder diffractogram of PmBe4Pt3 (a structure optimized by DFT (GGA-PBE); Cu Kα, 1.54184 Å).

Crystal structure
```
8
Lattice="3.872 0.000 0.000 0.000 3.872 0.000 0.000 0.000 8.025" Properties=species:S:1:pos:R:3 pbc="T T T"
Pm 0.000 0.000 0.000
Be 0.000 1.936 2.732
Be 0.000 1.936 5.293
Be 1.936 0.000 2.732
Be 1.936 0.000 5.293
Pt 0.000 0.000 4.012
Pt 1.936 1.936 1.431
Pt 1.936 1.936 6.594
```

Largest 10 diffraction maxima, sorted by position, 10° ≤ 2θ ≤ 90°:
d [Å], I_rel
3.487, 23.7
2.786, 100.0
2.738, 69.6
2.201, 16.9
1.936, 29.5
1.913, 20.1
1.781, 14.9
1.590, 37.8
1.311, 10.9
1.224, 11.8


(10)
Structure and theoretical powder diffractogram of Tm3Pd4 (a structure optimized by DFT (GGA-PBE); Cu Kα, 1.54184 Å).

Crystal structure
```
14
Lattice="6.524 3.767 1.905 -6.524 3.767 1.905 0.000 -7.533 1.905" Properties=species:S:1:pos:R:3 pbc="T T T"
Tm -1.643 -1.932 1.334
Tm -0.852 2.389 1.334
Tm 2.494 -0.457 1.334
Tm -2.494 0.457 4.380
Tm 0.852 -2.389 4.380
Tm 1.643 1.932 4.380
Pd 0.000 0.000 0.000
Pd -3.147 0.574 1.608
Pd 1.077 -3.012 1.608
Pd -2.070 -2.439 4.106
Pd 0.000 0.000 2.857
Pd 2.070 2.439 1.608
Pd -1.077 3.012 4.106
Pd 3.147 -0.574 4.106
```

Largest 10 diffraction maxima, sorted by position, 10° ≤ 2θ ≤ 90°:
d [Å], I_rel
3.421, 9.2
2.770, 14.2
2.748, 27.4
2.466, 100.0
2.375, 71.2
2.361, 11.9
2.111, 12.0
1.767, 9.8
1.711, 18.6
1.405, 12.2


(11)
Structure and theoretical powder diffractogram of La2PmBi2 (a structure optimized by DFT (GGA-PBE); Cu Kα, 1.54184 Å).

Crystal structure
```
10
Lattice="-4.536 6.212 3.284 4.536 -6.212 3.284 4.536 6.212 -3.284" Properties=species:S:1:pos:R:3 pbc="T T T"
La 1.291 1.841 0.000
La 5.828 4.371 0.000
La -1.291 1.841 3.284
La 3.245 4.371 3.284
Pm 4.536 0.000 1.642
Pm 0.000 6.212 1.642
Bi 7.070 1.378 0.000
Bi 2.534 4.834 0.000
Bi 2.002 1.378 3.284
Bi -2.534 4.834 3.284
```

Largest 10 diffraction maxima, sorted by position, 10° ≤ 2θ ≤ 90°:
d [Å], I_rel
4.041, 57.3
3.767, 80.6
3.284, 68.8
2.997, 70.8
2.938, 75.1
2.660, 95.4
2.563, 76.6
2.512, 99.6
2.257, 100.0
1.960, 52.8


(12)
Structure and theoretical powder diffractogram of PuHg4Au2 (a structure optimized by DFT (GGA-PBE); Cu Kα, 1.54184 Å).

Crystal structure
```
14
Lattice="4.487 -7.282 0.000 4.487 7.282 0.000 0.000 0.000 5.439" Properties=species:S:1:pos:R:3 pbc="T T T"
Pu 0.000 0.000 0.000
Pu 4.487 0.000 2.720
Hg 2.244 2.490 4.079
Hg 4.487 4.569 3.815
Hg 4.487 2.714 1.095
Hg 2.244 -2.490 1.360
Hg 6.731 2.490 4.079
Hg 4.487 -2.714 4.344
Hg 4.487 -4.569 1.624
Hg 6.731 -2.490 1.360
Au 1.448 0.000 2.720
Au 3.039 0.000 0.000
Au 5.935 0.000 0.000
Au 7.526 0.000 2.720
```

Largest 10 diffraction maxima, sorted by position, 10° ≤ 2θ ≤ 90°:
d [Å], I_rel
3.126, 100.0
2.580, 54.6
2.548, 90.9
2.509, 84.3
2.427, 59.9
2.306, 65.1
2.179, 32.4
1.513, 24.4
1.369, 21.4
1.342, 22.3


(13)
Structure and theoretical powder diffractogram of NdDyAlSi (a structure optimized by DFT (GGA-PBE); Cu Kα, 1.54184 Å).

Crystal structure
```
8
Lattice="4.033 0.000 0.000 0.000 4.402 0.000 0.000 0.000 11.095" Properties=species:S:1:pos:R:3 pbc="T T T"
Nd 0.000 0.000 0.000
Nd 0.000 2.201 5.548
Dy 2.016 0.000 3.145
Dy 2.016 2.201 8.692
Al 2.016 0.000 6.401
Al 2.016 2.201 0.853
Si 0.000 0.000 7.974
Si 0.000 2.201 2.427
```

Largest 10 diffraction maxima, sorted by position, 10° ≤ 2θ ≤ 90°:
d [Å], I_rel
4.092, 34.7
3.262, 65.7
2.872, 100.0
2.832, 57.0
2.774, 28.0
2.317, 29.8
2.201, 22.4
1.824, 25.6
1.778, 23.1
1.642, 22.5